Computed powder diffractogram of La4Pm5Cd2 for Cu Kα (weighted mean of Kα1 and Kα2), from a structure optimized by DFT (PBE).
Lines closer than 0.1° are merged.

Lattice parameters (Å, degrees): 8.8510 3.5815 11.6134 90.00 94.46 90.00
Space group P2/m (No. 10)
Inequivalent atoms, fractional coordinates:
1 La 0.1443 0.0000 0.3783 (multiplicity 2)
2 La 0.2733 0.0000 0.9538 (multiplicity 2)
3 Pm 0.2040 0.5000 0.6679 (multiplicity 2)
4 Pm 0.4329 0.5000 0.2054 (multiplicity 2)
5 Pm 0.5000 0.5000 0.5000 (multiplicity 1)
6 Cd 0.0535 0.5000 0.1310 (multiplicity 2)

Largest 12 diffraction maxima, low angle first, 2θ = 10–90°:
d 3.166, I 33, (1 1 1)
d 3.046, I 33, (0 1 2)
d 2.916, I 71, (1 1 -2)
d 2.905, I 100, (3 0 -1)
d 2.843, I 52, (1 1 2)
d 2.816, I 92, (1 0 -4)
d 2.799, I 99, (2 0 3)
d 2.781, I 36, (2 1 0)
d 2.674, I 58, (2 1 1)
d 2.556, I 42, (2 1 -2)
d 1.874, I 35, (1 1 5)
d 1.508, I 34, (2 2 3)

=====

Computed powder diffractogram of La3Pm8Cd for Cu Kα (weighted mean of Kα1 and Kα2), from a structure optimized by DFT (PBE).
Lines closer than 0.1° are merged.

Lattice parameters (Å, degrees): 8.7476 8.7476 11.4973 90.00 90.00 90.00
Space group I-42m (No. 121)
Inequivalent atoms, fractional coordinates:
1 La 0.0000 0.0000 0.0000 (multiplicity 2)
2 La 0.0000 0.5000 0.2500 (multiplicity 4)
3 Pm 0.1248 0.1248 0.2508 (multiplicity 8)
4 Pm 0.2488 0.2488 0.4963 (multiplicity 8)
5 Cd 0.0000 0.0000 0.5000 (multiplicity 2)

Largest 12 diffraction maxima, low angle first, 2θ = 10–90°:
d 6.185, I 26, (1 1 0)
d 3.704, I 74, (2 1 1)
d 3.481, I 68, (2 0 2)
d 3.093, I 83, (2 2 0)
d 2.874, I 80, (0 0 4)
d 2.738, I 33, (2 1 3)
d 2.724, I 31, (2 2 2)
d 2.493, I 100, (3 1 2)
d 2.105, I 56, (2 2 4)
d 2.044, I 56, (4 0 2)
d 1.644, I 28, (5 1 2)
d 1.362, I 36, (4 4 4)

=====

Computed powder diffractogram of La2Pm7YCd2 for Cu Kα (weighted mean of Kα1 and Kα2), from a structure optimized by DFT (PBE).
Lines closer than 0.1° are merged.

Lattice parameters (Å, degrees): 6.9916 10.1786 11.1859 90.00 90.00 90.00
Space group Cmmm (No. 65)
Inequivalent atoms, fractional coordinates:
1 La 0.0000 0.0000 0.1494 (multiplicity 4)
2 Pm 0.0000 0.0000 0.5000 (multiplicity 2)
3 Pm 0.0000 0.3112 0.0000 (multiplicity 4)
4 Pm 0.2500 0.2500 0.3305 (multiplicity 8)
5 Y 0.0000 0.5000 0.5000 (multiplicity 2)
6 Cd 0.0000 0.5000 0.2277 (multiplicity 4)

Largest 12 diffraction maxima, low angle first, 2θ = 10–90°:
d 3.337, I 19, (2 0 1)
d 3.008, I 100, (0 2 3)
d 2.964, I 15, (2 0 2)
d 2.882, I 58, (2 2 0)
d 2.791, I 26, (2 2 1)
d 2.679, I 16, (1 3 2)
d 2.562, I 23, (2 2 2)
d 2.547, I 55, (0 4 0)
d 1.801, I 32, (2 4 3)
d 1.748, I 16, (4 0 0)
d 1.526, I 16, (2 6 0)
d 1.511, I 25, (4 2 3)

=====

Computed powder diffractogram of La8Pr6Cd for Cu Kα (weighted mean of Kα1 and Kα2), from a structure optimized by DFT (PBE).
Lines closer than 0.1° are merged.

Lattice parameters (Å, degrees): 9.6190 9.6190 6.7364 90.00 90.00 120.00
Space group P-3 (No. 147)
Inequivalent atoms, fractional coordinates:
1 La 0.0435 0.7721 0.1778 (multiplicity 6)
2 La 0.3333 0.6667 0.1317 (multiplicity 2)
3 Pr 0.0931 0.6493 0.6648 (multiplicity 6)
4 Cd 0.0000 0.0000 0.5000 (multiplicity 1)

Largest 12 diffraction maxima, low angle first, 2θ = 10–90°:
d 3.543, I 18, (0 2 1)
d 3.368, I 8, (0 0 2)
d 3.149, I 26, (1 2 0)
d 3.123, I 18, (0 1 2)
d 2.852, I 100, (3 -1 1)
d 2.777, I 9, (3 0 0)
d 2.759, I 36, (1 1 2)
d 2.300, I 9, (1 2 2)
d 1.839, I 12, (2 3 1)
d 1.818, I 17, (4 1 0)
d 1.610, I 8, (4 -3 3)
d 1.533, I 12, (2 4 1)

=====

Computed powder diffractogram of La2Pr6Cd for Cu Kα (weighted mean of Kα1 and Kα2), from a structure optimized by DFT (PBE).
Lines closer than 0.1° are merged.

Lattice parameters (Å, degrees): 21.3419 9.3437 6.5574 90.00 107.72 90.00
Space group C2/c (No. 15)
Inequivalent atoms, fractional coordinates:
1 La 0.2499 0.0803 0.0718 (multiplicity 8)
2 Pr 0.0768 0.0742 0.7069 (multiplicity 8)
3 Pr 0.0765 0.4261 0.9478 (multiplicity 8)
4 Pr 0.1661 0.2500 0.4160 (multiplicity 8)
5 Cd 0.0000 0.2493 0.2500 (multiplicity 4)

Largest 12 diffraction maxima, low angle first, 2θ = 10–90°:
d 3.318, I 25, (4 2 -1)
d 3.279, I 13, (2 0 -2)
d 2.865, I 50, (5 1 1)
d 2.814, I 100, (1 3 -1)
d 2.743, I 35, (6 2 0)
d 2.093, I 10, (2 4 1)
d 1.923, I 7, (6 4 0)
d 1.901, I 12, (0 2 3)
d 1.694, I 7, (12 0 0)
d 1.588, I 12, (5 5 1)
d 1.580, I 9, (9 3 -3)
d 1.451, I 13, (11 3 1)

=====

Computed powder diffractogram of La2PrCd3 for Cu Kα (weighted mean of Kα1 and Kα2), from a structure optimized by DFT (PBE).
Lines closer than 0.1° are merged.

Lattice parameters (Å, degrees): 3.9162 3.9162 11.7813 90.00 90.00 90.00
Space group P4/mmm (No. 123)
Inequivalent atoms, fractional coordinates:
1 La 0.0000 0.0000 0.1687 (multiplicity 2)
2 Pr 0.0000 0.0000 0.5000 (multiplicity 1)
3 Cd 0.5000 0.5000 0.0000 (multiplicity 1)
4 Cd 0.5000 0.5000 0.3381 (multiplicity 2)

Largest 10 diffraction maxima, low angle first, 2θ = 10–90°:
d 3.920, I 1, (0 0 3)
d 2.772, I 100, (1 1 0)
d 1.964, I 6, (0 0 6)
d 1.958, I 12, (2 0 0)
d 1.600, I 37, (2 1 3)
d 1.387, I 8, (2 0 6)
d 1.385, I 4, (2 2 0)
d 1.242, I 5, (1 0 9)
d 1.239, I 10, (3 1 0)
d 1.132, I 4, (2 2 6)